Structure and calculated XRD peak list of Th2CdPdRh5 (a DFT-relaxed cell (GGA-PBE, Alexandria); CuKα).
No peak broadening, texture or thermal motion is included.

Top 12 peaks for 2θ = 10–90°, by angle:
Position (°2θ)	Rel. int.
16.42	15.2
25.49	20.0
30.62	39.2
34.34	39.5
34.81	100.0
38.29	26.2
39.90	32.5
40.26	18.9
47.13	20.3
48.85	22.5
52.27	21.7
60.78	12.8

```
Th2CdPdRh5
1.0
-4.129 4.129 5.399
4.129 -4.129 5.399
4.129 4.129 -5.399
Th Cd Pd Rh
4 2 2 10
direct
0.140 0.640 0.780 Th
0.360 0.140 0.500 Th
0.640 0.860 0.500 Th
0.860 0.360 0.220 Th
0.250 0.250 0.000 Cd
0.750 0.750 0.000 Cd
0.250 0.750 0.500 Pd
0.750 0.250 0.500 Pd
0.000 0.000 0.000 Rh
0.055 0.167 0.500 Rh
0.167 0.667 0.112 Rh
0.333 0.445 0.500 Rh
0.445 0.945 0.112 Rh
0.500 0.500 0.000 Rh
0.555 0.055 0.888 Rh
0.667 0.555 0.500 Rh
0.833 0.333 0.888 Rh
0.945 0.833 0.500 Rh
```

---

Structure and calculated XRD peak list of ZrCdPdRh2 (a DFT-relaxed cell (GGA-PBE, Alexandria); CuKα).
No peak broadening, texture or thermal motion is included.

Top 12 peaks for 2θ = 10–90°, by angle:
Position (°2θ)	Rel. int.
17.38	19.2
18.57	21.3
25.53	33.2
31.76	100.0
35.17	59.3
37.64	98.1
52.46	73.6
54.29	33.1
60.96	17.8
64.28	25.5
66.35	35.5
86.46	17.6

```
ZrCdPdRh2
1.0
4.779 0.000 0.000
0.000 4.779 0.000
0.000 0.000 5.104
Zr Cd Pd Rh
1 1 1 2
direct
0.000 0.000 0.000 Zr
0.000 0.000 0.500 Cd
0.500 0.500 0.000 Pd
0.000 0.500 0.500 Rh
0.500 0.000 0.500 Rh
```